1.
Simulated X-ray powder pattern
Compound: TbAu
Radiation: Cu Kα X-rays
Structure: a cell relaxed with PBE
No peak broadening, texture or thermal motion is included.

Crystal structure
```
8
Lattice="3.745 0.000 0.000 0.000 10.972 0.000 0.000 0.000 4.659" Properties=species:S:1:pos:R:3 pbc="T T T"
Tb 0.000 1.529 1.165
Tb 0.000 9.444 3.495
Tb 1.872 3.958 3.495
Tb 1.872 7.015 1.165
Au 0.000 4.521 1.165
Au 0.000 6.451 3.495
Au 1.872 0.965 3.495
Au 1.872 10.007 1.165
```

Top 6 peaks for 15° ≤ 2θ ≤ 90°, in order of falling intensity:
31.72 deg, intensity 100
39.50 deg, intensity 83
38.65 deg, intensity 37
32.65 deg, intensity 32
38.07 deg, intensity 28
48.63 deg, intensity 19

=====

2.
Simulated X-ray powder pattern
Compound: TbZrAu6
Radiation: Cu Kα X-rays
Structure: a cell relaxed with PBE
No peak broadening, texture or thermal motion is included.

Crystal structure
```
8
Lattice="4.964 0.000 0.000 0.000 6.178 0.000 0.000 0.000 5.061" Properties=species:S:1:pos:R:3 pbc="T T T"
Tb 0.000 0.000 0.000
Zr 2.482 3.089 3.465
Au 0.000 1.631 2.547
Au 0.000 3.089 5.044
Au 0.000 4.547 2.547
Au 2.482 0.000 3.382
Au 2.482 1.576 0.905
Au 2.482 4.602 0.905
```

Top 6 peaks for 15° ≤ 2θ ≤ 90°, in order of falling intensity:
38.67 deg, intensity 100
39.99 deg, intensity 51
36.19 deg, intensity 42
34.00 deg, intensity 27
66.74 deg, intensity 20
74.64 deg, intensity 20

=====

3.
Simulated X-ray powder pattern
Compound: TlTcTe3Au
Radiation: Cu Kα X-rays
Structure: a cell relaxed with PBE
No peak broadening, texture or thermal motion is included.

Crystal structure
```
12
Lattice="8.426 0.000 0.000 0.000 3.926 0.000 -4.167 0.000 9.409" Properties=species:S:1:pos:R:3 pbc="T T T"
Tl -0.858 0.981 2.665
Tl 5.117 2.944 6.744
Tc 3.164 0.981 1.660
Tc 1.095 2.944 7.749
Te 1.389 2.944 0.975
Te -0.140 2.944 5.368
Te -0.728 0.981 8.294
Te 4.987 2.944 1.115
Te 4.399 0.981 4.042
Te 2.870 0.981 8.434
Au 2.077 2.944 3.645
Au 2.182 0.981 5.765
```

Top 6 peaks for 15° ≤ 2θ ≤ 90°, in order of falling intensity:
31.14 deg, intensity 100
28.82 deg, intensity 82
36.72 deg, intensity 70
32.63 deg, intensity 65
34.66 deg, intensity 63
32.24 deg, intensity 58

=====

4.
Simulated X-ray powder pattern
Compound: TeAu15
Radiation: Cu Kα X-rays
Structure: a cell relaxed with PBE
No peak broadening, texture or thermal motion is included.

Crystal structure
```
32
Lattice="4.097 0.000 0.000 0.000 4.096 0.000 0.000 0.000 44.109" Properties=species:S:1:pos:R:3 pbc="T T T"
Te 1.024 0.000 5.780
Te 3.072 0.000 38.329
Au 1.024 0.000 10.485
Au 1.024 0.000 14.706
Au 1.024 0.000 18.897
Au 1.024 0.000 23.112
Au 1.024 0.000 27.323
Au 1.024 0.000 31.511
Au 1.024 0.000 35.744
Au 1.024 2.048 8.360
Au 1.024 2.048 12.601
Au 1.024 2.048 16.791
Au 1.024 2.048 21.004
Au 1.024 2.048 25.223
Au 1.024 2.048 29.413
Au 1.024 2.048 33.627
Au 1.024 2.048 37.931
Au 3.072 0.000 8.365
Au 3.072 0.000 12.599
Au 3.072 0.000 16.786
Au 3.072 0.000 20.997
Au 3.072 0.000 25.212
Au 3.072 0.000 29.403
Au 3.072 0.000 33.624
Au 3.072 2.048 6.178
Au 3.072 2.048 10.482
Au 3.072 2.048 14.696
Au 3.072 2.048 18.887
Au 3.072 2.048 23.105
Au 3.072 2.048 27.318
Au 3.072 2.048 31.508
Au 3.072 2.048 35.749
```

Top 6 peaks for 15° ≤ 2θ ≤ 90°, in order of falling intensity:
37.13 deg, intensity 100
38.33 deg, intensity 72
44.23 deg, intensity 53
63.43 deg, intensity 29
76.67 deg, intensity 25
43.06 deg, intensity 22

=====

5.
Simulated X-ray powder pattern
Compound: TeAu15
Radiation: Cu Kα X-rays
Structure: a cell relaxed with PBE
No peak broadening, texture or thermal motion is included.

Crystal structure
```
32
Lattice="4.919 0.000 0.000 0.000 32.779 0.000 -1.542 0.000 4.686" Properties=species:S:1:pos:R:3 pbc="T T T"
Te -0.385 4.553 1.172
Te -1.156 28.226 3.515
Au -1.156 6.319 3.515
Au -0.385 7.907 1.172
Au -1.156 9.454 3.515
Au -0.385 11.007 1.172
Au -1.156 12.541 3.515
Au -0.385 14.090 1.172
Au -1.156 15.614 3.515
Au -0.385 17.164 1.172
Au -1.156 18.688 3.515
Au -0.385 20.238 1.172
Au -1.156 21.772 3.515
Au -0.385 23.325 1.172
Au -1.156 24.871 3.515
Au -0.385 26.459 1.172
Au 1.304 4.796 3.515
Au 2.074 6.321 1.172
Au 1.304 7.924 3.515
Au 2.074 9.456 1.172
Au 1.304 11.015 3.515
Au 2.074 12.546 1.172
Au 1.304 14.090 3.515
Au 2.074 15.619 1.172
Au 1.304 17.160 3.515
Au 2.074 18.688 1.172
Au 1.304 20.233 3.515
Au 2.074 21.764 1.172
Au 1.304 23.323 3.515
Au 2.074 24.854 1.172
Au 1.304 26.458 3.515
Au 2.074 27.983 1.172
```

Top 6 peaks for 15° ≤ 2θ ≤ 90°, in order of falling intensity:
37.67 deg, intensity 100
35.44 deg, intensity 81
38.53 deg, intensity 77
43.64 deg, intensity 67
38.42 deg, intensity 65
41.68 deg, intensity 52

=====

6.
Simulated X-ray powder pattern
Compound: Te5Au4
Radiation: Cu Kα X-rays
Structure: a cell relaxed with PBE
No peak broadening, texture or thermal motion is included.

Crystal structure
```
9
Lattice="5.628 0.000 0.000 -2.814 4.874 0.000 0.000 0.000 8.756" Properties=species:S:1:pos:R:3 pbc="T T T"
Te 0.000 0.000 0.000
Te 0.000 3.249 2.934
Te 0.000 3.249 5.822
Te 2.814 1.625 2.934
Te 2.814 1.625 5.822
Au 0.000 0.000 4.378
Au -1.407 2.437 0.000
Au 2.814 0.000 0.000
Au 1.407 2.437 0.000
```

Top 6 peaks for 15° ≤ 2θ ≤ 90°, in order of falling intensity:
42.45 deg, intensity 100
38.34 deg, intensity 52
33.45 deg, intensity 49
20.28 deg, intensity 46
56.51 deg, intensity 45
35.86 deg, intensity 40

=====

7.
Simulated X-ray powder pattern
Compound: TeAu15
Radiation: Cu Kα X-rays
Structure: a cell relaxed with PBE
No peak broadening, texture or thermal motion is included.

Crystal structure
```
32
Lattice="5.753 0.000 0.000 0.000 4.085 0.000 -0.008 0.000 34.552" Properties=species:S:1:pos:R:3 pbc="T T T"
Te 0.758 1.021 5.570
Te 4.987 3.063 28.982
Au 0.707 1.021 8.940
Au 0.711 1.021 11.959
Au 0.706 1.021 27.182
Au 0.718 1.021 15.002
Au 0.713 1.021 18.036
Au 0.717 1.021 21.071
Au 0.732 1.021 24.126
Au 2.092 3.063 28.648
Au 2.117 3.063 7.269
Au 2.151 3.063 10.419
Au 2.154 3.063 13.477
Au 2.153 3.063 16.511
Au 2.151 3.063 19.539
Au 2.158 3.063 22.584
Au 2.180 3.063 25.667
Au 3.565 1.021 8.885
Au 3.587 1.021 11.968
Au 3.593 1.021 15.013
Au 3.592 1.021 18.041
Au 3.590 1.021 21.074
Au 3.594 1.021 24.133
Au 3.628 1.021 27.283
Au 3.653 1.021 5.904
Au 5.013 3.063 10.426
Au 5.028 3.063 13.481
Au 5.032 3.063 16.516
Au 5.026 3.063 19.550
Au 5.039 3.063 7.370
Au 5.034 3.063 22.593
Au 5.038 3.063 25.612
```

Top 6 peaks for 15° ≤ 2θ ≤ 90°, in order of falling intensity:
38.26 deg, intensity 100
36.07 deg, intensity 68
42.62 deg, intensity 43
44.37 deg, intensity 30
63.20 deg, intensity 27
44.52 deg, intensity 20

=====

8.
Simulated X-ray powder pattern
Compound: Te2Au9
Radiation: Cu Kα X-rays
Structure: a cell relaxed with PBE
No peak broadening, texture or thermal motion is included.

Crystal structure
```
11
Lattice="3.064 0.000 0.000 -1.532 2.653 0.000 0.000 0.000 26.966" Properties=species:S:1:pos:R:3 pbc="T T T"
Te 0.000 1.769 11.665
Te 1.532 0.884 15.300
Au 0.000 0.000 0.000
Au 0.000 0.000 6.763
Au 0.000 0.000 20.203
Au 0.000 1.769 4.507
Au 0.000 1.769 17.921
Au 0.000 1.769 24.713
Au 1.532 0.884 2.253
Au 1.532 0.884 9.044
Au 1.532 0.884 22.459
```

Top 6 peaks for 15° ≤ 2θ ≤ 90°, in order of falling intensity:
36.39 deg, intensity 100
43.40 deg, intensity 58
60.43 deg, intensity 24
40.13 deg, intensity 22
75.04 deg, intensity 22
65.63 deg, intensity 14

=====

9.
Simulated X-ray powder pattern
Compound: ThTlTe3Au
Radiation: Cu Kα X-rays
Structure: a cell relaxed with PBE
No peak broadening, texture or thermal motion is included.

Crystal structure
```
12
Lattice="2.217 -7.820 0.000 2.217 7.820 0.000 0.000 0.000 11.486" Properties=species:S:1:pos:R:3 pbc="T T T"
Th 0.000 0.000 0.000
Th 0.000 0.000 5.743
Tl 2.217 4.103 8.615
Tl 2.217 -4.103 2.872
Te 2.217 6.548 2.872
Te 2.217 2.163 0.624
Te 2.217 2.163 5.119
Te 2.217 -2.163 6.367
Te 2.217 -2.163 10.862
Te 2.217 -6.548 8.615
Au 2.217 0.505 2.872
Au 2.217 -0.505 8.615
```

Top 6 peaks for 15° ≤ 2θ ≤ 90°, in order of falling intensity:
30.71 deg, intensity 100
27.53 deg, intensity 94
31.15 deg, intensity 43
40.70 deg, intensity 33
38.55 deg, intensity 28
47.89 deg, intensity 26